SrAlFeO4: theoretical powder diffractogram (Cu Kα), based on the GGA+U geometry in Alexandria.
No peak broadening, texture or thermal motion is included.

Atomic structure:
Unit cell a=5.371 b=5.371 c=7.637 alpha=90.00 beta=90.00 gamma=90.00
Space group I-4 (No. 82)
Inequivalent atoms, fractional coordinates:
Sr (0.000, 0.000, 0.000) (multiplicity 2)
Al (0.000, 0.000, 0.500) (multiplicity 2)
Fe (0.000, 0.500, 0.750) (multiplicity 2)
O (0.150, 0.238, 0.624) (multiplicity 8)

Most intense lines, 2θ = 15–90°, low angle first:
two_theta, Rel. int., hkl
20.21, 60, 1 0 1
33.29, 100, 1 1 2
39.16, 12, 1 0 3
39.32, 26, 2 1 1
47.90, 15, 2 2 0
59.40, 19, 2 0 4
59.57, 26, 3 1 2
79.84, 12, 2 4 0